Record 1
Diffraction record for K2MoSeO6. The powder diffractogram is computed, not measured: it uses a crystal structure in the Materials Project, relaxed with PBE+U and λ = 1.5418 Å (Cu Kα).
Peak positions follow from Bragg's law for the DFT cell and can differ from measured ones.

Atomic structure:
a b c (Å): 6.2936 15.5565 7.7754
angles (deg): 90.00 112.68 90.00
Space group P2_1/c (No. 14)
Symmetry-distinct sites (fractional):
K 0.1058 0.0543 0.3134 x4
K 0.3582 0.6983 0.1108 x4
Mo 0.4606 0.0631 0.8168 x4
Se 0.1016 0.1738 0.8782 x4
O 0.0491 0.2286 0.2770 x4
O 0.1054 0.1042 0.6983 x4
O 0.2913 0.5196 0.4919 x4
O 0.3710 0.5222 0.1520 x4
O 0.4041 0.1646 0.9914 x4
O 0.4148 0.6368 0.7907 x4

Most intense lines, 10° ≤ 2θ ≤ 90°, low angle first:
d 6.515, I 24, hkl 0 1 1; d 5.368, I 26, hkl 1 1 -1; d 5.273, I 62, hkl 0 2 1; d 4.653, I 31, hkl 1 2 0; d 3.587, I 14, hkl 0 0 2; d 3.495, I 54, hkl 0 1 2; d 3.448, I 19, hkl 1 2 1; d 3.216, I 100, hkl 1 4 -1; d 3.087, I 32, hkl 1 3 1; d 2.857, I 55, hkl 2 0 -2; d 2.400, I 21, hkl 1 5 -2; d 2.317, I 30, hkl 1 3 -3

***

Record 2
Diffraction record for K4Mo6Se2O33. The powder diffractogram is computed, not measured: it uses a crystal structure in the Materials Project, relaxed with PBE+U and λ = 1.5418 Å (Cu Kα).
Peak positions follow from Bragg's law for the DFT cell and can differ from measured ones.

Atomic structure:
a b c (Å): 8.8134 10.1173 10.1734
angles (deg): 66.19 76.27 76.77
Space group P1 (No. 1)
Symmetry-distinct sites (fractional):
K 0.0000 0.0000 0.0000 x1
K 0.0092 0.4200 0.5758 x1
K 0.4399 0.5825 0.1453 x1
K 0.5713 0.8319 0.4308 x1
Mo 0.1440 0.0068 0.5823 x1
Mo 0.1803 0.6138 0.8478 x1
Mo 0.1809 0.2735 0.1905 x1
Mo 0.8292 0.1464 0.3850 x1
Mo 0.8302 0.8063 0.7277 x1
Mo 0.8669 0.4128 0.9931 x1
Se 0.0818 0.8131 0.3919 x1
Se 0.9279 0.6065 0.1838 x1
O 0.0419 0.4563 0.2810 x1
O 0.0432 0.7052 0.0341 x1
O 0.0628 0.1130 0.6892 x1
O 0.0927 0.8164 0.7348 x1
O 0.0951 0.1590 0.3933 x1
O 0.1213 0.4318 0.0087 x1
O 0.1786 0.7161 0.2936 x1
O 0.2160 0.8686 0.4462 x1
O 0.2473 0.1345 0.1236 x1
O 0.2473 0.5454 0.7104 x1
O 0.3444 0.9942 0.5717 x1
O 0.3513 0.6350 0.8872 x1
O 0.3519 0.3173 0.2066 x1
O 0.4031 0.3860 0.5003 x1
O 0.4211 0.9387 0.9712 x1
O 0.4761 0.4860 0.4777 x1
O 0.5014 0.9323 0.0645 x1
O 0.5772 0.0377 0.0330 x1
O 0.5978 0.2743 0.7601 x1
O 0.6202 0.4019 0.6947 x1
O 0.6574 0.1032 0.3696 x1
O 0.6588 0.7850 0.6892 x1
O 0.6665 0.4243 0.0039 x1
O 0.7643 0.8744 0.8658 x1
O 0.7652 0.2860 0.4508 x1
O 0.7938 0.5510 0.1293 x1
O 0.8308 0.7035 0.2822 x1
O 0.8887 0.9881 0.5670 x1
O 0.9159 0.2603 0.1816 x1
O 0.9173 0.6036 0.8407 x1
O 0.9479 0.3072 0.8855 x1
O 0.9660 0.7148 0.5416 x1
O 0.9680 0.9635 0.2947 x1

Most intense lines, 10° ≤ 2θ ≤ 90°, low angle first:
d 8.465, I 100, hkl 1 0 0; d 8.164, I 90, hkl 0 1 1; d 6.916, I 25, hkl 1 1 1; d 4.082, I 12, hkl 0 2 2; d 3.396, I 31, hkl -2 1 1; d 3.377, I 20, hkl 1 2 -1; d 3.286, I 14, hkl 0 3 1; d 3.250, I 20, hkl 1 -2 1; d 3.238, I 21, hkl 1 1 -2; d 3.132, I 21, hkl 0 3 2; d 3.041, I 10, hkl 1 0 3; d 2.928, I 22, hkl 3 1 1

***

Record 3
Diffraction record for K5SmMo4O16. The powder diffractogram is computed, not measured: it uses a crystal structure in the Materials Project, relaxed with PBE+U and λ = 1.5418 Å (Cu Kα).
Peak positions follow from Bragg's law for the DFT cell and can differ from measured ones.

Atomic structure:
a b c (Å): 7.8889 6.2541 9.8376
angles (deg): 90.00 106.23 90.00
Space group P2/m (No. 10)
Symmetry-distinct sites (fractional):
K 0.0000 0.0000 0.0000 x1
K 0.1597 0.5000 0.7172 x2
K 0.4076 0.0000 0.8163 x2
Sm 0.5000 0.5000 0.5000 x1
Mo 0.2001 0.0000 0.3989 x2
Mo 0.2846 0.5000 0.0985 x2
O 0.0345 0.0000 0.6690 x2
O 0.0928 0.5000 0.1595 x2
O 0.2836 0.2412 0.5018 x4
O 0.2869 0.2710 0.9900 x4
O 0.2877 0.0000 0.2529 x2
O 0.4790 0.5000 0.2568 x2

Most intense lines, 10° ≤ 2θ ≤ 90°, low angle first:
d 6.930, I 31, hkl 1 0 -1; d 4.823, I 25, hkl 1 1 0; d 3.317, I 100, hkl 2 1 -1; d 3.247, I 51, hkl 1 0 -3; d 3.127, I 53, hkl 0 2 0; d 3.109, I 94, hkl 1 1 2; d 2.285, I 17, hkl 3 0 1; d 2.252, I 39, hkl 1 2 -3; d 1.932, I 26, hkl 3 1 -4; d 1.845, I 18, hkl 3 2 1; d 1.808, I 17, hkl 0 1 5; d 1.802, I 18, hkl 1 3 2

***

Record 4
Diffraction record for KTbMo2O8. The powder diffractogram is computed, not measured: it uses a crystal structure in the Materials Project, relaxed with PBE+U and λ = 1.5418 Å (Cu Kα).
Peak positions follow from Bragg's law for the DFT cell and can differ from measured ones.

Atomic structure:
a b c (Å): 10.8161 10.4641 7.7872
angles (deg): 90.00 131.31 90.00
Space group C2/c (No. 15)
Symmetry-distinct sites (fractional):
K 0.0000 0.2001 0.2500 x4
Tb 0.0000 0.2292 0.7500 x4
Mo 0.1962 0.4986 0.2391 x8
O 0.0237 0.3911 0.9707 x8
O 0.1270 0.0796 0.6912 x8
O 0.1910 0.4220 0.4390 x8
O 0.2258 0.1577 0.1247 x8

Most intense lines, 10° ≤ 2θ ≤ 90°, low angle first:
d 6.234, I 61, hkl 1 1 -1; d 3.507, I 13, hkl 1 1 1; d 3.233, I 25, hkl 3 1 -2; d 3.208, I 100, hkl 2 2 0; d 3.117, I 85, hkl 2 2 -2; d 2.925, I 38, hkl 0 0 2; d 2.619, I 28, hkl 0 4 0; d 1.950, I 24, hkl 0 4 2; d 1.825, I 19, hkl 5 3 -2; d 1.782, I 12, hkl 3 5 -2; d 1.754, I 13, hkl 2 2 2; d 1.709, I 19, hkl 2 2 -4